[1]
Diffraction record for HoGaNi. The XRD peak list is computed, not measured: it uses a structure optimized by DFT (GGA-PBE) and Cu Kα X-rays.

Atomic structure:
Cell: 6.7926 4.2764 7.3461 Å, 90.00 90.00 90.00°
Atoms (fractional coordinates):
Ho (0.0193, 0.2500, 0.1942)
Ho (0.4807, 0.7500, 0.6942)
Ho (0.5193, 0.2500, 0.3058)
Ho (0.9807, 0.7500, 0.8058)
Ga (0.1730, 0.2500, 0.5759)
Ga (0.3270, 0.7500, 0.0759)
Ga (0.6730, 0.2500, 0.9241)
Ga (0.8270, 0.7500, 0.4241)
Ni (0.2142, 0.7500, 0.4021)
Ni (0.2858, 0.2500, 0.9021)
Ni (0.7142, 0.7500, 0.0979)
Ni (0.7858, 0.2500, 0.5979)

Peak list (10 most intense, 10 to 90 degrees two-theta, low angle first)
- d 3.696, 24.08 deg, I 22
- d 2.578, 34.80 deg, I 57
- d 2.501, 35.91 deg, I 100
- d 2.494, 36.02 deg, I 33
- d 2.304, 39.10 deg, I 19
- d 2.164, 41.74 deg, I 18
- d 2.138, 42.27 deg, I 35
- d 2.125, 42.54 deg, I 36
- d 1.623, 56.71 deg, I 18
- d 1.353, 69.47 deg, I 21

[2]
Diffraction record for Ho2GaOs. The XRD peak list is computed, not measured: it uses a structure optimized by DFT (GGA-PBE) and Cu Kα X-rays.

Atomic structure:
Cell: 4.9006 4.9006 4.9006 Å, 60.00 60.00 60.00°
Atoms (fractional coordinates):
Ho (0.2500, 0.2500, 0.2500)
Ho (0.7500, 0.7500, 0.7500)
Ga (0.0000, 0.0000, 0.0000)
Os (0.5000, 0.5000, 0.5000)

Peak list (10 most intense, 10 to 90 degrees two-theta, low angle first)
- d 4.001, 22.22 deg, I 9
- d 3.465, 25.71 deg, I 2
- d 2.450, 36.68 deg, I 100
- d 2.090, 43.30 deg, I 5
- d 1.733, 52.84 deg, I 18
- d 1.590, 58.01 deg, I 2
- d 1.415, 66.04 deg, I 36
- d 1.225, 77.99 deg, I 11
- d 1.171, 82.31 deg, I 2
- d 1.096, 89.42 deg, I 17

[3]
Diffraction record for HoGa2Pd. The XRD peak list is computed, not measured: it uses a structure optimized by DFT (GGA-PBE) and Cu Kα X-rays.

Atomic structure:
Cell: 5.5339 5.5339 6.6049 Å, 90.00 90.00 132.83°
Atoms (fractional coordinates):
Ho (0.0886, 0.9114, 0.7500)
Ho (0.9114, 0.0886, 0.2500)
Ga (0.3730, 0.6270, 0.5527)
Ga (0.3730, 0.6270, 0.9473)
Ga (0.6270, 0.3730, 0.0527)
Ga (0.6270, 0.3730, 0.4473)
Pd (0.1999, 0.8001, 0.2500)
Pd (0.8001, 0.1999, 0.7500)

Peak list (10 most intense, 10 to 90 degrees two-theta, low angle first)
- d 3.302, 27.00 deg, I 19
- d 2.562, 35.03 deg, I 100
- d 2.536, 35.40 deg, I 17
- d 2.489, 36.08 deg, I 96
- d 2.367, 38.01 deg, I 34
- d 2.214, 40.75 deg, I 45
- d 2.084, 43.41 deg, I 31
- d 2.020, 44.88 deg, I 17
- d 1.617, 56.94 deg, I 21
- d 1.186, 81.13 deg, I 14

[4]
Diffraction record for Ho4Ga12Pd. The XRD peak list is computed, not measured: it uses a structure optimized by DFT (GGA-PBE) and Cu Kα X-rays.

Atomic structure:
Cell: 7.4801 7.4801 7.4801 Å, 109.47 109.47 109.47°
Atoms (fractional coordinates):
Ho (0.0000, 0.0000, 0.5000)
Ho (0.0000, 0.5000, 0.0000)
Ho (0.5000, 0.0000, 0.0000)
Ho (0.5000, 0.5000, 0.5000)
Ga (0.0000, 0.2961, 0.2961)
Ga (0.0000, 0.7039, 0.7039)
Ga (0.2500, 0.5000, 0.7500)
Ga (0.2500, 0.7500, 0.5000)
Ga (0.2961, 0.0000, 0.2961)
Ga (0.2961, 0.2961, 0.0000)
Ga (0.5000, 0.2500, 0.7500)
Ga (0.5000, 0.7500, 0.2500)
Ga (0.7039, 0.0000, 0.7039)
Ga (0.7039, 0.7039, 0.0000)
Ga (0.7500, 0.2500, 0.5000)
Ga (0.7500, 0.5000, 0.2500)
Pd (0.0000, 0.0000, 0.0000)

Peak list (10 most intense, 10 to 90 degrees two-theta, low angle first)
- d 3.054, 29.25 deg, I 37
- d 2.493, 36.02 deg, I 100
- d 2.308, 39.02 deg, I 11
- d 2.159, 41.83 deg, I 65
- d 1.763, 51.86 deg, I 11
- d 1.527, 60.65 deg, I 38
- d 1.366, 68.74 deg, I 11
- d 1.302, 72.61 deg, I 30
- d 1.247, 76.40 deg, I 11
- d 1.154, 83.81 deg, I 10

[5]
Diffraction record for Ho3Ga9Pd2. The XRD peak list is computed, not measured: it uses a structure optimized by DFT (GGA-PBE) and Cu Kα X-rays.

Atomic structure:
Cell: 8.1767 8.1767 8.1767 Å, 149.50 109.13 79.09°
Atoms (fractional coordinates):
Ho (0.0000, 0.0000, 0.0000)
Ho (0.2998, 0.2998, 0.0000)
Ho (0.7002, 0.7002, 0.0000)
Ga (0.0218, 0.6551, 0.3667)
Ga (0.1450, 0.8629, 0.2821)
Ga (0.2884, 0.6551, 0.6333)
Ga (0.4193, 0.1371, 0.2821)
Ga (0.5000, 0.0000, 0.5000)
Ga (0.5807, 0.8629, 0.7179)
Ga (0.7116, 0.3449, 0.3667)
Ga (0.8550, 0.1371, 0.7179)
Ga (0.9782, 0.3449, 0.6333)
Pd (0.3179, 0.5000, 0.8179)
Pd (0.6821, 0.5000, 0.1821)

Peak list (10 most intense, 10 to 90 degrees two-theta, low angle first)
- d 2.625, 34.15 deg, I 18
- d 2.547, 35.24 deg, I 27
- d 2.539, 35.35 deg, I 100
- d 2.526, 35.54 deg, I 29
- d 2.456, 36.59 deg, I 30
- d 2.362, 38.11 deg, I 28
- d 2.151, 42.01 deg, I 41
- d 2.102, 43.04 deg, I 18
- d 2.048, 44.21 deg, I 16
- d 1.361, 69.02 deg, I 19

[6]
Diffraction record for HoGaPt. The XRD peak list is computed, not measured: it uses a structure optimized by DFT (GGA-PBE) and Cu Kα X-rays.

Atomic structure:
Cell: 6.8804 4.4568 7.6425 Å, 90.00 90.00 90.00°
Atoms (fractional coordinates):
Ho (0.0149, 0.2500, 0.2015)
Ho (0.4851, 0.7500, 0.7015)
Ho (0.5149, 0.2500, 0.2985)
Ho (0.9851, 0.7500, 0.7985)
Ga (0.1832, 0.2500, 0.5783)
Ga (0.3168, 0.7500, 0.0783)
Ga (0.6832, 0.2500, 0.9217)
Ga (0.8168, 0.7500, 0.4217)
Pt (0.2149, 0.7500, 0.4064)
Pt (0.2851, 0.2500, 0.9064)
Pt (0.7149, 0.7500, 0.0936)
Pt (0.7851, 0.2500, 0.5936)

Peak list (10 most intense, 10 to 90 degrees two-theta, low angle first)
- d 3.360, 26.53 deg, I 28
- d 3.341, 26.68 deg, I 16
- d 2.673, 33.52 deg, I 37
- d 2.565, 34.98 deg, I 100
- d 2.557, 35.10 deg, I 34
- d 2.228, 40.48 deg, I 42
- d 2.212, 40.80 deg, I 58
- d 2.197, 41.09 deg, I 19
- d 1.680, 54.63 deg, I 19
- d 1.394, 67.13 deg, I 18